1.
Theoretical X-ray powder pattern of KTmGa4Au2 for Cu Kα (weighted mean of Kα1 and Kα2), from a structure optimized by DFT (PBE).

Crystal structure
Cell: 6.788 5.714 5.714 Å, 47.16 90.00 90.00°
Fractional positions:
K  0.000  0.000  0.000
Tm  0.500  0.813  0.813
Ga  0.200  0.287  0.287
Ga  0.308  0.535  0.535
Ga  0.692  0.535  0.535
Ga  0.800  0.287  0.287
Au  0.000  0.711  0.711
Au  0.500  0.110  0.110

Main lines, by intensity (10° ≤ 2θ ≤ 90°):
Position (°2θ)	Rel. int.
34.93	100
33.99	92
42.06	71
39.42	57
36.79	48
24.97	41

2.
Theoretical X-ray powder pattern of KYGa4Au2 for Cu Kα (weighted mean of Kα1 and Kα2), from a structure optimized by DFT (PBE).

Crystal structure
Cell: 6.792 5.762 5.762 Å, 47.06 90.00 90.00°
Fractional positions:
K  0.000  0.000  0.000
Y  0.500  0.186  0.186
Ga  0.198  0.713  0.713
Ga  0.308  0.466  0.466
Ga  0.692  0.466  0.466
Ga  0.802  0.713  0.713
Au  0.000  0.289  0.289
Au  0.500  0.890  0.890

Main lines, by intensity (10° ≤ 2θ ≤ 90°):
Position (°2θ)	Rel. int.
33.89	100
34.69	99
41.84	83
24.85	67
39.16	65
45.47	59

3.
Theoretical X-ray powder pattern of La2Ga5Au3 for Cu Kα (weighted mean of Kα1 and Kα2), from a structure optimized by DFT (PBE).

Crystal structure
Cell: 8.806 8.806 8.806 Å, 104.84 89.86 138.27°
Fractional positions:
La  0.127  0.239  0.366
La  0.373  0.739  0.112
La  0.627  0.261  0.888
La  0.873  0.761  0.634
Ga  0.015  0.750  0.265
Ga  0.117  0.644  0.761
Ga  0.250  0.250  0.000
Ga  0.383  0.144  0.526
Ga  0.485  0.750  0.735
Ga  0.515  0.250  0.265
Ga  0.617  0.856  0.474
Ga  0.750  0.750  0.000
Ga  0.883  0.356  0.239
Ga  0.985  0.250  0.735
Au  0.133  0.879  0.012
Au  0.250  0.750  0.500
Au  0.367  0.379  0.746
Au  0.633  0.621  0.254
Au  0.750  0.250  0.500
Au  0.867  0.121  0.988

Main lines, by intensity (10° ≤ 2θ ≤ 90°):
Position (°2θ)	Rel. int.
32.17	100
40.81	99
33.07	60
33.23	56
22.94	37
47.03	37